Computed X-ray powder pattern of B2PPtRhC for Cu Kα (weighted mean of Kα1 and Kα2), from DFT lattice parameters and positions (PBE).
Intensities are scaled so that the largest is 100.

Crystal structure
Lattice parameters (Å, degrees): 7.7829 2.8288 6.5762 90.00 107.53 90.00
Space group Cm (No. 8)
Asymmetric unit:
B (0.0000, 0.0000, 0.0000)
B (0.1934, 0.0000, 0.8788)
P (0.4670, 0.0000, 0.3789)
Pt (0.4218, 0.5000, 0.6386)
Rh (0.1848, 0.5000, 0.2056)
C (0.2926, 0.5000, 0.9178)

Principal peaks in the range 2θ from 15° to 90°, sorted by position:
23.9 deg, rel. 100
28.5 deg, rel. 39
31.5 deg, rel. 56
33.9 deg, rel. 47
35.4 deg, rel. 53
38.3 deg, rel. 24
42.8 deg, rel. 25
47.3 deg, rel. 38
47.7 deg, rel. 20
48.9 deg, rel. 25
51.1 deg, rel. 27
52.8 deg, rel. 25



Computed X-ray powder pattern of Ti8CoPt2 for Cu Kα (weighted mean of Kα1 and Kα2), from DFT lattice parameters and positions (PBE).
Intensities are scaled so that the largest is 100.

Crystal structure
Lattice parameters (Å, degrees): 14.1095 4.4609 6.0556 90.00 111.07 90.00
Space group C2/m (No. 12)
Asymmetric unit:
Ti (0.0157, 0.0000, 0.2572)
Ti (0.0905, 0.5000, 0.9315)
Ti (0.1536, 0.5000, 0.4239)
Ti (0.1837, 0.0000, 0.7623)
Co (0.0000, 0.5000, 0.5000)
Pt (0.1890, 0.0000, 0.1899)

Principal peaks in the range 2θ from 15° to 90°, sorted by position:
24.2 deg, rel. 21
24.8 deg, rel. 45
26.0 deg, rel. 22
28.5 deg, rel. 28
33.6 deg, rel. 13
37.9 deg, rel. 14
39.7 deg, rel. 37
40.4 deg, rel. 100
42.7 deg, rel. 37
47.6 deg, rel. 13
48.7 deg, rel. 13
49.7 deg, rel. 28